K2FeH2Cl5O: calculated powder diffraction line list (Cu Kα (λ = 1.5418 Å)), based on a crystal structure in Alexandria, relaxed with GGA+U.
Lines closer than 0.1° are merged.

Cell and atoms:
Cell: 13.970 9.369 7.603 Å, 90.00 90.00 90.00°
Space group Pnma (No. 62)
Symmetry-distinct sites (fractional):
K (0.153, 0.002, 0.117) [8 per cell]
Fe (0.106, 0.750, 0.689) [4 per cell]
H (0.039, 0.165, 0.527) [8 per cell]
Cl (0.009, 0.750, 0.955) [4 per cell]
Cl (0.100, 0.006, 0.690) [8 per cell]
Cl (0.200, 0.750, 0.422) [4 per cell]
Cl (0.247, 0.750, 0.864) [4 per cell]
O (0.020, 0.250, 0.458) [4 per cell]

Main lines, by intensity (2θ from 10° to 90°):
d_spacing  Position (°2θ)  I_rel  hkl
2.888  30.96  100  1 2 2
5.904  15.01  83  0 1 1
5.600  15.83  69  2 1 0
2.342  38.43  66  0 4 0
2.946  30.34  65  3 0 2
2.800  31.96  56  4 2 0
3.029  29.49  54  3 2 1
3.174  28.12  40  4 0 1